Record 1
This entry pairs a crystal structure of Pa2TeH2 with its computed powder X-ray diffraction pattern. Radiation: Cu Kα. Structure: a GGA-PBE-relaxed structure.
Kinematic intensities with the Lorentz-polarization factor, no thermal factor.

Structural model:
Lattice parameters (Å, degrees): 6.1931 10.1680 10.9241 90.00 90.00 90.00
Space group Fddd (No. 70, origin choice 2)
Symmetry-distinct sites (fractional):
Pa 0.1250 0.3103 0.1250 (multiplicity 16)
Te 0.1250 0.1250 0.6250 (multiplicity 8)
H 0.1250 0.1250 0.0138 (multiplicity 16)

Main lines, low angle first (10° ≤ 2θ ≤ 90°):
index, d_spacing, I/Imax
0 2 2, 3.721, 22
1 3 1, 2.869, 100
0 0 4, 2.731, 48
2 0 2, 2.694, 94
1 3 3, 2.303, 55
1 5 1, 1.901, 16
1 3 5, 1.761, 25
3 3 1, 1.741, 24
3 3 3, 1.587, 18
2 0 6, 1.569, 19


Record 2
This entry pairs a crystal structure of Ta4BTe8 with its computed powder X-ray diffraction pattern. Radiation: Cu Kα. Structure: a GGA-PBE-relaxed structure.
Kinematic intensities with the Lorentz-polarization factor, no thermal factor.

Structural model:
Lattice parameters (Å, degrees): 11.8282 17.1095 3.5913 90.00 90.00 90.00
Space group Pbam (No. 55)
Symmetry-distinct sites (fractional):
Ta 0.0778 0.0683 0.0000 (multiplicity 4)
Ta 0.1469 0.9193 0.5000 (multiplicity 4)
B 0.0000 0.0000 0.5000 (multiplicity 2)
Te 0.0711 0.8059 0.0000 (multiplicity 4)
Te 0.1470 0.3208 0.5000 (multiplicity 4)
Te 0.2066 0.4956 0.0000 (multiplicity 4)
Te 0.2151 0.1632 0.5000 (multiplicity 4)

Main lines, low angle first (10° ≤ 2θ ≤ 90°):
index, d_spacing, I/Imax
0 2 0, 8.555, 29
2 0 1, 3.070, 31
3 4 0, 2.899, 54
0 4 1, 2.750, 29
2 3 1, 2.703, 100
1 4 1, 2.679, 41
4 3 0, 2.624, 66
3 2 1, 2.536, 31
2 5 1, 2.284, 80
0 0 2, 1.796, 36


Record 3
This entry pairs a crystal structure of Tb7PtS5 with its computed powder X-ray diffraction pattern. Radiation: Cu Kα. Structure: a GGA-PBE-relaxed structure.
Kinematic intensities with the Lorentz-polarization factor, no thermal factor.

Structural model:
Lattice parameters (Å, degrees): 3.8855 23.6340 6.7575 90.00 106.63 90.00
Space group P2_1/m (No. 11)
Symmetry-distinct sites (fractional):
Tb 0.0374 0.2500 0.0740 (multiplicity 2)
Tb 0.1371 0.5364 0.2752 (multiplicity 4)
Tb 0.3062 0.1772 0.6131 (multiplicity 4)
Tb 0.4109 0.6085 0.8221 (multiplicity 4)
Pt 0.3019 0.7500 0.6038 (multiplicity 2)
S 0.0495 0.6418 0.0997 (multiplicity 4)
S 0.2255 0.0705 0.4503 (multiplicity 4)
S 0.5000 0.0000 0.0000 (multiplicity 2)

Main lines, low angle first (10° ≤ 2θ ≤ 90°):
index, d_spacing, I/Imax
1 4 0, 3.149, 35
0 7 1, 2.994, 100
1 5 -1, 2.924, 36
1 2 -2, 2.805, 92
1 3 1, 2.711, 63
1 9 -1, 2.146, 26
0 5 3, 1.962, 44
2 0 -1, 1.943, 32
2 7 0, 1.630, 34
1 7 4, 1.253, 25


Record 4
This entry pairs a crystal structure of Zn2BiRh2 with its computed powder X-ray diffraction pattern. Radiation: Cu Kα. Structure: a GGA-PBE-relaxed structure.
Kinematic intensities with the Lorentz-polarization factor, no thermal factor.

Structural model:
Lattice parameters (Å, degrees): 3.6273 3.6273 13.2362 90.00 90.00 90.00
Space group I4/mmm (No. 139)
Symmetry-distinct sites (fractional):
Zn 0.0000 0.5000 0.2500 (multiplicity 4)
Bi 0.0000 0.0000 0.0000 (multiplicity 2)
Rh 0.0000 0.0000 0.3933 (multiplicity 4)

Main lines, low angle first (10° ≤ 2θ ≤ 90°):
index, d_spacing, I/Imax
0 0 2, 6.618, 22
1 0 3, 2.802, 86
1 1 0, 2.565, 29
1 1 2, 2.392, 100
1 0 5, 2.138, 78
2 0 0, 1.814, 43
2 1 3, 1.523, 28
2 1 5, 1.383, 39
1 1 10, 1.176, 19
3 1 2, 1.130, 19


Record 5
This entry pairs a crystal structure of Rb3Tm3ZrSe8 with its computed powder X-ray diffraction pattern. Radiation: Cu Kα. Structure: a GGA-PBE-relaxed structure.
Kinematic intensities with the Lorentz-polarization factor, no thermal factor.

Structural model:
Lattice parameters (Å, degrees): 14.1670 8.1850 9.4300 90.00 120.05 90.00
Space group C2/m (No. 12)
Symmetry-distinct sites (fractional):
Rb 0.0000 0.0000 0.0000 (multiplicity 2)
Rb 0.2500 0.2500 0.0000 (multiplicity 4)
Tm 0.0000 0.5000 0.5000 (multiplicity 2)
Tm 0.2500 0.2500 0.5000 (multiplicity 4)
Zr 0.0000 0.0000 0.5000 (multiplicity 2)
Se 0.0181 0.2420 0.3118 (multiplicity 8)
Se 0.2239 0.0000 0.6882 (multiplicity 4)
Se 0.2306 0.5000 0.6927 (multiplicity 4)

Main lines, low angle first (10° ≤ 2θ ≤ 90°):
index, d_spacing, I/Imax
0 0 1, 8.163, 54
2 2 -2, 3.066, 100
4 0 1, 2.489, 19
4 0 -4, 2.316, 33
0 4 0, 2.046, 36
6 2 -1, 1.984, 10
2 2 3, 1.885, 11
8 0 -4, 1.702, 17
4 4 -4, 1.533, 9
8 4 -4, 1.308, 14


Record 6
This entry pairs a crystal structure of TbHoBiSe with its computed powder X-ray diffraction pattern. Radiation: Cu Kα. Structure: a GGA-PBE-relaxed structure.
Kinematic intensities with the Lorentz-polarization factor, no thermal factor.

Structural model:
Lattice parameters (Å, degrees): 4.2106 4.2106 21.8712 90.00 90.00 120.00
Space group R3m (No. 160, hexagonal axes)
Symmetry-distinct sites (fractional):
Tb 0.0000 0.0000 0.0000 (multiplicity 3)
Ho 0.0000 0.0000 0.8168 (multiplicity 3)
Bi 0.0000 0.0000 0.2409 (multiplicity 3)
Se 0.0000 0.0000 0.4126 (multiplicity 3)

Main lines, low angle first (10° ≤ 2θ ≤ 90°):
index, d_spacing, I/Imax
1 0 1, 3.597, 25
0 1 2, 3.459, 26
1 0 4, 3.034, 39
0 1 5, 2.801, 100
1 0 7, 2.373, 39
1 1 0, 2.105, 58
1 0 10, 1.876, 12
2 0 5, 1.683, 22
1 1 12, 1.378, 24
1 2 5, 1.315, 20


Record 7
This entry pairs a crystal structure of SrLi2Ru2O7 with its computed powder X-ray diffraction pattern. Radiation: Cu Kα. Structure: a GGA-PBE-relaxed structure.
Kinematic intensities with the Lorentz-polarization factor, no thermal factor.

Structural model:
Lattice parameters (Å, degrees): 3.8904 3.8904 18.1089 90.00 90.00 90.00
Space group I4mm (No. 107)
Symmetry-distinct sites (fractional):
Sr 0.0000 0.0000 0.0000 (multiplicity 2)
Li 0.0000 0.5000 0.2495 (multiplicity 4)
Ru 0.0000 0.0000 0.3871 (multiplicity 2)
Ru 0.0000 0.0000 0.6154 (multiplicity 2)
O 0.0000 0.0000 0.2833 (multiplicity 2)
O 0.0000 0.0000 0.5009 (multiplicity 2)
O 0.0000 0.0000 0.7208 (multiplicity 2)
O 0.0000 0.5000 0.1098 (multiplicity 4)
O 0.0000 0.5000 0.3958 (multiplicity 4)

Main lines, low angle first (10° ≤ 2θ ≤ 90°):
index, d_spacing, I/Imax
1 0 1, 3.804, 31
1 0 3, 3.270, 100
1 1 0, 2.751, 54
1 0 5, 2.651, 72
0 0 8, 2.264, 24
2 0 0, 1.945, 46
1 1 8, 1.748, 21
2 1 3, 1.672, 27
2 1 5, 1.568, 31
2 0 8, 1.475, 22


Record 8
This entry pairs a crystal structure of Nd5Ga3 with its computed powder X-ray diffraction pattern. Radiation: Cu Kα. Structure: a GGA-PBE-relaxed structure.
Kinematic intensities with the Lorentz-polarization factor, no thermal factor.

Structural model:
Lattice parameters (Å, degrees): 7.8423 7.8423 14.7327 90.00 90.00 90.00
Space group I4/mcm (No. 140)
Symmetry-distinct sites (fractional):
Nd 0.0000 0.0000 0.0000 (multiplicity 4)
Nd 0.1739 0.3261 0.1491 (multiplicity 16)
Ga 0.0000 0.0000 0.2500 (multiplicity 4)
Ga 0.1173 0.3827 0.5000 (multiplicity 8)

Main lines, low angle first (10° ≤ 2θ ≤ 90°):
index, d_spacing, I/Imax
2 1 1, 3.412, 15
1 1 4, 3.068, 14
2 1 3, 2.854, 100
2 2 0, 2.773, 16
2 0 4, 2.685, 44
3 1 0, 2.480, 41
0 0 6, 2.455, 15
4 1 3, 1.774, 19
3 3 4, 1.652, 16
3 3 6, 1.478, 13


Record 9
This entry pairs a crystal structure of Pa4Bi5P with its computed powder X-ray diffraction pattern. Radiation: Cu Kα. Structure: a GGA-PBE-relaxed structure.
Kinematic intensities with the Lorentz-polarization factor, no thermal factor.

Structural model:
Lattice parameters (Å, degrees): 18.3118 4.2821 8.0497 90.00 97.40 90.00
Space group C2/m (No. 12)
Symmetry-distinct sites (fractional):
Pa 0.0306 0.0000 0.2172 (multiplicity 4)
Pa 0.1391 0.5000 0.9150 (multiplicity 4)
Bi 0.0000 0.5000 0.5000 (multiplicity 2)
Bi 0.1372 0.0000 0.6141 (multiplicity 4)
Bi 0.2001 0.0000 0.1906 (multiplicity 4)
P 0.0000 0.5000 0.0000 (multiplicity 2)

Main lines, low angle first (10° ≤ 2θ ≤ 90°):
index, d_spacing, I/Imax
1 1 1, 3.651, 19
3 1 -1, 3.293, 24
3 1 1, 3.118, 23
6 0 -1, 2.959, 25
1 1 2, 2.841, 100
6 0 1, 2.716, 22
5 1 -1, 2.700, 30
5 1 -2, 2.388, 36
0 2 0, 2.141, 29
7 1 1, 2.080, 23